Computed powder diffraction line list of Ba4NiBi3O12 for λ = 1.5418 Å (Cu Kα), from a structure optimized by DFT (GGA+U).
No peak broadening, texture or thermal motion is included.

Peak list (10 most intense, 15 to 90 degrees two-theta, sorted by position)
two_theta, I/Imax
20.6, 5
25.3, 4
29.3, 100
39.1, 3
42.0, 29
52.0, 42
60.8, 18
69.0, 19
76.7, 6
84.1, 23

Structure:
a = 7.4586 Å, b = 7.4586 Å, c = 7.4586 Å
α = 109.47°, β = 109.47°, γ = 109.47°
Sites, in units of the cell vectors:
Ba  0.0000  0.0000  0.5000
Ba  0.0000  0.5000  0.0000
Ba  0.5000  0.0000  0.0000
Ba  0.5000  0.5000  0.5000
Ni  0.0000  0.0000  0.0000
Bi  0.0000  0.5000  0.5000
Bi  0.5000  0.0000  0.5000
Bi  0.5000  0.5000  0.0000
O  0.0000  0.2512  0.2512
O  0.0000  0.7488  0.7488
O  0.2500  0.5000  0.7500
O  0.2500  0.7500  0.5000
O  0.2512  0.0000  0.2512
O  0.2512  0.2512  0.0000
O  0.5000  0.2500  0.7500
O  0.5000  0.7500  0.2500
O  0.7488  0.0000  0.7488
O  0.7488  0.7488  0.0000
O  0.7500  0.2500  0.5000
O  0.7500  0.5000  0.2500